1.
Structure and simulated powder XRD pattern of Li4V2CrTeO12 (a crystal structure in Alexandria, relaxed with PBE+U; copper Kα).
No peak broadening, texture or thermal motion is included.

Cell and atoms:
```
data_Li4V2CrTeO12
_chemical_formula_sum 'Li4 V2 Cr1 Te1 O12'
_space_group_name_H-M_alt 'P 1'
_space_group_IT_number 1
_cell_length_a 5.060
_cell_length_b 5.320
_cell_length_c 7.336
_cell_angle_alpha 85.92
_cell_angle_beta 89.72
_cell_angle_gamma 89.76
loop_
_space_group_symop_operation_xyz
'x,y,z'
loop_
_atom_site_label
_atom_site_fract_x
_atom_site_fract_y
_atom_site_fract_z
Li1 0.000 0.000 0.000
Li2 0.005 0.976 0.518
Li3 0.493 0.466 0.991
Li4 0.505 0.481 0.526
V1 0.007 0.416 0.223
V2 0.504 0.923 0.726
Cr1 0.997 0.426 0.724
Te1 0.503 0.907 0.223
O1 0.108 0.388 0.978
O2 0.181 0.076 0.280
O3 0.203 0.693 0.660
O4 0.303 0.184 0.663
O5 0.323 0.579 0.278
O6 0.376 0.879 0.971
O7 0.631 0.880 0.468
O8 0.688 0.580 0.768
O9 0.695 0.202 0.141
O10 0.802 0.077 0.766
O11 0.810 0.705 0.146
O12 0.890 0.393 0.452
```

Peak list (6 most intense, 10° ≤ 2θ ≤ 90°, low angle first)
2θ (°)  I_rel  (hkl)
24.31  100  0 0 2
33.67  11  1 1 2
33.82  22  0 2 0
35.51  18  1 -1 2
49.87  13  2 -2 0
55.10  13  -1 1 4

=====

2.
Structure and simulated powder XRD pattern of Li4Cr2TeWO12 (a crystal structure in Alexandria, relaxed with PBE+U; copper Kα).
No peak broadening, texture or thermal motion is included.

Cell and atoms:
```
data_Li4Cr2TeWO12
_chemical_formula_sum 'Li4 Cr2 Te1 W1 O12'
_space_group_name_H-M_alt 'P 1'
_space_group_IT_number 1
_cell_length_a 5.094
_cell_length_b 5.355
_cell_length_c 7.384
_cell_angle_alpha 86.21
_cell_angle_beta 89.95
_cell_angle_gamma 89.84
loop_
_space_group_symop_operation_xyz
'x,y,z'
loop_
_atom_site_label
_atom_site_fract_x
_atom_site_fract_y
_atom_site_fract_z
Li1 0.000 0.000 0.000
Li2 0.003 0.000 0.497
Li3 0.493 0.500 0.998
Li4 0.498 0.509 0.500
Cr1 0.500 0.072 0.780
Cr2 0.994 0.564 0.286
Te1 0.999 0.572 0.786
W1 0.494 0.070 0.280
O1 0.125 0.595 0.537
O2 0.183 0.892 0.236
O3 0.196 0.271 0.858
O4 0.296 0.772 0.860
O5 0.313 0.391 0.235
O6 0.386 0.087 0.539
O7 0.615 0.087 0.037
O8 0.680 0.400 0.728
O9 0.693 0.776 0.351
O10 0.811 0.273 0.347
O11 0.814 0.896 0.729
O12 0.869 0.590 0.036
```

Peak list (6 most intense, 10° ≤ 2θ ≤ 90°, low angle first)
2θ (°)  I_rel  (hkl)
21.20  28  1 0 -1
24.15  100  1 -1 0
33.58  37  1 1 2
35.22  24  1 1 -2
43.16  12  0 2 -2
54.68  18  1 -3 0